Starting from a DFT-relaxed cell (GGA-PBE, Alexandria), the X-ray powder pattern of KSi3 was simulated for copper Kα.
No peak broadening, texture or thermal motion is included.

a = 3.6133 Å, b = 3.7012 Å, c = 6.9106 Å
α = 90.00°, β = 90.00°, γ = 90.00°
Element x y z (fractional)
K 0.0000 0.0000 0.0000
Si 0.0000 0.5000 0.4233
Si 0.5000 0.0000 0.4296
Si 0.5000 0.5000 0.6738

The 8 most intense peaks (2θ = 10–90°), by angle:
2theta	d [Å]	I/Imax
12.8	6.911	31
25.8	3.455	32
27.3	3.263	48
27.9	3.202	48
35.5	2.526	26
37.1	2.422	100
43.7	2.070	34
53.3	1.720	34

=====

Starting from a DFT-relaxed cell (GGA-PBE, Alexandria), the X-ray powder pattern of KSiTc2 was simulated for copper Kα.
No peak broadening, texture or thermal motion is included.

a = 2.8669 Å, b = 4.1887 Å, c = 7.2673 Å
α = 90.00°, β = 99.07°, γ = 90.00°
Element x y z (fractional)
K 0.0000 0.0000 0.0000
Si 0.6386 0.5000 0.3200
Tc 0.2499 0.5000 0.6060
Tc 0.6561 0.0000 0.5010

The 8 most intense peaks (2θ = 10–90°), by angle:
2theta	d [Å]	I/Imax
12.3	7.176	100
24.8	3.588	23
32.9	2.725	19
38.4	2.346	14
38.8	2.321	24
42.1	2.148	11
43.2	2.093	25
50.8	1.796	11

=====

Starting from a DFT-relaxed cell (GGA-PBE, Alexandria), the X-ray powder pattern of K3SiTe4 was simulated for copper Kα.
No peak broadening, texture or thermal motion is included.

a = 9.9345 Å, b = 11.7347 Å, c = 10.7823 Å
α = 90.00°, β = 90.00°, γ = 90.00°
Element x y z (fractional)
K 0.0482 0.0481 0.1925
K 0.0482 0.4519 0.1925
K 0.1479 0.7500 0.4091
K 0.3521 0.2500 0.9091
K 0.4518 0.5481 0.6925
K 0.4518 0.9519 0.6925
K 0.5482 0.0481 0.3075
K 0.5482 0.4519 0.3075
K 0.6479 0.7500 0.0909
K 0.8521 0.2500 0.5909
K 0.9518 0.5481 0.8075
K 0.9518 0.9519 0.8075
Si 0.2385 0.7500 0.9625
Si 0.2615 0.2500 0.4625
Si 0.7385 0.7500 0.5375
Si 0.7615 0.2500 0.0375
Te 0.0248 0.7500 0.0918
Te 0.1486 0.0651 0.5347
Te 0.1486 0.4349 0.5347
Te 0.1958 0.7500 0.7337
Te 0.3042 0.2500 0.2337
Te 0.3514 0.5651 0.0347
Te 0.3514 0.9349 0.0347
Te 0.4752 0.2500 0.5918
Te 0.5248 0.7500 0.4082
Te 0.6486 0.0651 0.9653
Te 0.6486 0.4349 0.9653
Te 0.6958 0.7500 0.7663
Te 0.8042 0.2500 0.2663
Te 0.8514 0.5651 0.4653
Te 0.8514 0.9349 0.4653
Te 0.9752 0.2500 0.9082

The 8 most intense peaks (2θ = 10–90°), by angle:
2theta	d [Å]	I/Imax
19.4	4.575	59
21.1	4.211	35
25.9	3.441	100
28.2	3.166	67
29.1	3.073	77
30.2	2.955	40
30.5	2.932	35
34.4	2.608	40

=====

Starting from a DFT-relaxed cell (GGA-PBE, Alexandria), the X-ray powder pattern of K7SiTe6 was simulated for copper Kα.
No peak broadening, texture or thermal motion is included.

a = 12.7997 Å, b = 12.7997 Å, c = 12.7997 Å
α = 138.70°, β = 106.51°, γ = 87.96°
Element x y z (fractional)
K 0.0383 0.2287 0.2671
K 0.0748 0.5216 0.8571
K 0.1645 0.0216 0.4467
K 0.2500 0.2500 0.0000
K 0.3355 0.7823 0.8571
K 0.4252 0.2823 0.4467
K 0.4617 0.7287 0.1904
K 0.5383 0.2713 0.8096
K 0.5748 0.7177 0.5533
K 0.6645 0.2177 0.1429
K 0.7500 0.7500 0.0000
K 0.8355 0.9784 0.5533
K 0.9252 0.4784 0.1429
K 0.9617 0.7713 0.7329
Si 0.2500 0.7500 0.5000
Si 0.7500 0.2500 0.5000
Te 0.0808 0.8490 0.5775
Te 0.1750 0.9267 0.1017
Te 0.2285 0.6510 0.2319
Te 0.2715 0.5034 0.4225
Te 0.3250 0.4267 0.7517
Te 0.4192 0.9966 0.7681
Te 0.5808 0.0034 0.2319
Te 0.6750 0.5733 0.2483
Te 0.7285 0.4966 0.5775
Te 0.7715 0.3490 0.7681
Te 0.8250 0.0733 0.8983
Te 0.9192 0.1510 0.4225

The 8 most intense peaks (2θ = 10–90°), by angle:
2theta	d [Å]	I/Imax
14.9	5.942	56
15.0	5.888	35
21.0	4.229	100
22.2	4.002	32
25.7	3.462	50
29.1	3.070	35
30.2	2.962	61
31.9	2.807	48

=====

Starting from a DFT-relaxed cell (GGA-PBE, Alexandria), the X-ray powder pattern of KSi2Te4 was simulated for copper Kα.
No peak broadening, texture or thermal motion is included.

a = 9.1564 Å, b = 9.1564 Å, c = 8.9849 Å
α = 107.60°, β = 107.60°, γ = 108.14°
Element x y z (fractional)
K 0.0000 0.0000 0.0000
K 0.8596 0.1404 0.5000
Si 0.3754 0.3413 0.9022
Si 0.3900 0.4210 0.2883
Si 0.5790 0.6100 0.7117
Si 0.6587 0.6246 0.0978
Te 0.0094 0.8370 0.3156
Te 0.1630 0.9906 0.6844
Te 0.1902 0.4513 0.0501
Te 0.3048 0.3337 0.5090
Te 0.4578 0.1985 0.1135
Te 0.5487 0.8098 0.9499
Te 0.6663 0.6952 0.4910
Te 0.8015 0.5422 0.8865

The 8 most intense peaks (2θ = 10–90°), by angle:
2theta	d [Å]	I/Imax
11.9	7.414	100
16.6	5.346	79
25.8	3.448	32
26.7	3.340	28
26.9	3.316	40
29.3	3.047	64
29.7	3.005	59
32.2	2.776	32

=====

Starting from a DFT-relaxed cell (GGA-PBE, Alexandria), the X-ray powder pattern of K3SiTe4 was simulated for copper Kα.
No peak broadening, texture or thermal motion is included.

a = 8.6577 Å, b = 8.6577 Å, c = 8.6577 Å
α = 135.12°, β = 68.60°, γ = 131.03°
Element x y z (fractional)
K 0.0000 0.0000 0.0000
K 0.1987 0.9099 0.2888
K 0.6211 0.9099 0.7112
Si 0.7467 0.2467 0.5000
Te 0.0751 0.4231 0.6520
Te 0.4927 0.2574 0.7647
Te 0.4927 0.7279 0.2353
Te 0.7712 0.4231 0.3480

The 8 most intense peaks (2θ = 10–90°), by angle:
2theta	d [Å]	I/Imax
22.4	3.972	93
23.0	3.867	67
24.8	3.587	80
29.8	3.000	35
30.4	2.938	100
34.1	2.630	57
39.1	2.302	36
54.3	1.689	39

=====

Starting from a DFT-relaxed cell (GGA-PBE, Alexandria), the X-ray powder pattern of K2SiTe5 was simulated for copper Kα.
No peak broadening, texture or thermal motion is included.

a = 8.6850 Å, b = 8.6850 Å, c = 8.6850 Å
α = 134.52°, β = 134.41°, γ = 66.37°
Element x y z (fractional)
K 0.0000 0.0000 0.0000
K 0.4994 0.4994 0.0000
Si 0.7728 0.2728 0.5000
Te 0.4388 0.4584 0.4997
Te 0.4388 0.9391 0.9804
Te 0.9439 0.4439 0.5000
Te 0.9587 0.4584 0.0196
Te 0.9587 0.9391 0.5003

The 8 most intense peaks (2θ = 10–90°), by angle:
2theta	d [Å]	I/Imax
12.2	7.269	46
14.5	6.102	23
24.5	3.634	37
29.3	3.051	100
37.9	2.377	29
45.6	1.989	26
46.2	1.965	24
63.2	1.472	21

=====

Starting from a DFT-relaxed cell (GGA-PBE, Alexandria), the X-ray powder pattern of KYSi was simulated for copper Kα.
No peak broadening, texture or thermal motion is included.

a = 5.2068 Å, b = 5.2068 Å, c = 7.6409 Å
α = 90.00°, β = 90.00°, γ = 90.00°
Element x y z (fractional)
K 0.2500 0.2500 0.1154
K 0.7500 0.7500 0.8846
Y 0.2500 0.7500 0.5000
Y 0.7500 0.2500 0.5000
Si 0.2500 0.2500 0.6687
Si 0.7500 0.7500 0.3313

The 8 most intense peaks (2θ = 10–90°), by angle:
2theta	d [Å]	I/Imax
11.6	7.641	86
26.9	3.317	100
29.0	3.080	31
33.8	2.651	48
34.4	2.603	57
43.2	2.095	22
54.1	1.696	23
57.2	1.610	22

=====

Starting from a DFT-relaxed cell (GGA-PBE, Alexandria), the X-ray powder pattern of K2ZrSi was simulated for copper Kα.
No peak broadening, texture or thermal motion is included.

a = 3.8324 Å, b = 3.7726 Å, c = 10.7312 Å
α = 90.00°, β = 99.96°, γ = 90.00°
Element x y z (fractional)
K 0.0000 0.0000 0.0000
K 0.2948 0.5000 0.6101
Zr 0.6477 0.5000 0.3011
Si 0.1540 0.0000 0.3140

The 8 most intense peaks (2θ = 10–90°), by angle:
2theta	d [Å]	I/Imax
25.1	3.553	52
25.3	3.523	100
26.4	3.375	49
26.5	3.359	49
33.6	2.667	97
35.7	2.512	64
39.7	2.273	33
39.8	2.265	32

=====

Starting from a DFT-relaxed cell (GGA-PBE, Alexandria), the X-ray powder pattern of KSm3 was simulated for copper Kα.
No peak broadening, texture or thermal motion is included.

a = 6.5769 Å, b = 6.5769 Å, c = 6.5769 Å
α = 132.93°, β = 132.93°, γ = 68.76°
Element x y z (fractional)
K 0.0000 0.0000 0.0000
Sm 0.2500 0.7500 0.5000
Sm 0.5000 0.5000 0.0000
Sm 0.7500 0.2500 0.5000

The 8 most intense peaks (2θ = 10–90°), by angle:
2theta	d [Å]	I/Imax
18.8	4.728	14
29.1	3.065	100
33.0	2.714	18
34.1	2.626	33
48.2	1.887	25
56.6	1.627	15
58.1	1.588	28
60.4	1.533	12

=====

Starting from a DFT-relaxed cell (GGA-PBE, Alexandria), the X-ray powder pattern of KSmTe was simulated for copper Kα.
No peak broadening, texture or thermal motion is included.

a = 4.7848 Å, b = 4.7848 Å, c = 9.4480 Å
α = 90.00°, β = 90.00°, γ = 90.00°
Element x y z (fractional)
K 0.2500 0.2500 0.1380
K 0.7500 0.7500 0.8620
Sm 0.2500 0.7500 0.5000
Sm 0.7500 0.2500 0.5000
Te 0.2500 0.2500 0.7426
Te 0.7500 0.7500 0.2574

The 8 most intense peaks (2θ = 10–90°), by angle:
2theta	d [Å]	I/Imax
20.8	4.269	33
28.0	3.185	55
32.6	2.751	100
34.1	2.631	23
37.6	2.392	43
54.2	1.692	14
54.6	1.681	16
64.7	1.441	27

=====

Starting from a DFT-relaxed cell (GGA-PBE, Alexandria), the X-ray powder pattern of K3Sm3TmTe8 was simulated for copper Kα.
No peak broadening, texture or thermal motion is included.

a = 8.9049 Å, b = 8.9049 Å, c = 9.9537 Å
α = 116.61°, β = 116.61°, γ = 59.97°
Element x y z (fractional)
K 0.0000 0.0000 0.0000
K 0.0000 0.5000 0.0000
K 0.5000 0.0000 0.0000
Sm 0.0000 0.5000 0.5000
Sm 0.5000 0.0000 0.5000
Sm 0.5000 0.5000 0.5000
Tm 0.0000 0.0000 0.5000
Te 0.2330 0.2330 0.7083
Te 0.2330 0.7425 0.7083
Te 0.2575 0.7670 0.2917
Te 0.2621 0.2621 0.2863
Te 0.7379 0.7379 0.7137
Te 0.7425 0.2330 0.7083
Te 0.7670 0.2575 0.2917
Te 0.7670 0.7670 0.2917

The 8 most intense peaks (2θ = 10–90°), by angle:
2theta	d [Å]	I/Imax
10.4	8.519	57
27.0	3.301	100
33.8	2.651	22
36.5	2.460	37
40.5	2.226	36
49.4	1.845	19
65.7	1.421	16
69.5	1.353	16

=====

Starting from a DFT-relaxed cell (GGA-PBE, Alexandria), the X-ray powder pattern of K13Sn2 was simulated for copper Kα.
No peak broadening, texture or thermal motion is included.

a = 8.4131 Å, b = 10.2866 Å, c = 11.6942 Å
α = 66.20°, β = 88.22°, γ = 76.45°
Element x y z (fractional)
K 0.0000 0.0000 0.0000
K 0.0483 0.5585 0.6295
K 0.1670 0.0211 0.6570
K 0.2221 0.5749 0.0468
K 0.2870 0.0707 0.2662
K 0.4382 0.2343 0.8653
K 0.4885 0.3488 0.4381
K 0.5115 0.6512 0.5619
K 0.5618 0.7657 0.1347
K 0.7130 0.9293 0.7338
K 0.7779 0.4251 0.9532
K 0.8330 0.9789 0.3430
K 0.9517 0.4415 0.3705
Sn 0.1948 0.7198 0.3050
Sn 0.8052 0.2802 0.6950

The 8 most intense peaks (2θ = 10–90°), by angle:
2theta	d [Å]	I/Imax
14.1	6.269	64
24.5	3.627	55
24.7	3.599	86
25.1	3.555	65
26.5	3.357	75
27.0	3.304	100
27.8	3.212	58
28.8	3.097	64